[1]
Structure and simulated XRD peak list of RbLa2GaO5 (a crystal structure in Alexandria, relaxed with PBE; Cu Kα (λ = 1.5418 Å)).
Neutral-atom scattering factors, no anomalous dispersion.

Largest 10 diffraction maxima, sorted by position, 2θ from 15° to 90°:
| hkl | 2θ (°) | intensity |
| --- | --- | --- |
| 2 1 1 | 29.46 | 42 |
| 2 0 2 | 29.80 | 100 |
| 0 0 4 | 31.11 | 30 |
| 2 2 0 | 36.15 | 26 |
| 2 1 3 | 36.99 | 51 |
| 2 2 4 | 48.42 | 22 |
| 2 1 5 | 49.09 | 19 |
| 4 1 1 | 54.42 | 20 |
| 2 0 6 | 54.56 | 23 |
| 4 1 3 | 59.34 | 17 |

Crystal structure
abc: 7.0276 7.0276 11.4991
angles: 90.00 90.00 90.00
Space group I4/mcm (No. 140)
Unique sites:
Rb: 0.0000 0.0000 0.2500 [4 per cell]
La: 0.1852 0.3148 0.0000 [8 per cell]
Ga: 0.0000 0.5000 0.2500 [4 per cell]
O: 0.0000 0.0000 0.0000 [4 per cell]
O: 0.1342 0.3658 0.3655 [16 per cell]

=====

[2]
Structure and simulated XRD peak list of La2ZnGa2S6O (a crystal structure in Alexandria, relaxed with PBE; Cu Kα (λ = 1.5418 Å)).
Neutral-atom scattering factors, no anomalous dispersion.

Largest 10 diffraction maxima, sorted by position, 2θ from 15° to 90°:
| hkl | 2θ (°) | intensity |
| --- | --- | --- |
| 1 1 1 | 19.70 | 13 |
| 2 0 1 | 23.85 | 20 |
| 2 1 1 | 25.68 | 100 |
| 3 1 0 | 30.01 | 28 |
| 2 1 2 | 36.29 | 24 |
| 4 0 0 | 38.23 | 13 |
| 3 3 0 | 40.65 | 12 |
| 3 1 2 | 42.35 | 27 |
| 5 2 1 | 54.58 | 17 |
| 5 2 2 | 61.04 | 11 |

Crystal structure
abc: 9.4160 9.4160 6.1199
angles: 90.00 90.00 90.00
Space group P-42_1m (No. 113)
Unique sites:
La: 0.1553 0.3447 0.4921 [4 per cell]
Zn: 0.0000 0.0000 0.0000 [2 per cell]
Ga: 0.1283 0.6283 0.0864 [4 per cell]
S: 0.0645 0.8318 0.2590 [8 per cell]
S: 0.1316 0.6316 0.7198 [4 per cell]
O: 0.0000 0.5000 0.2362 [2 per cell]

=====

[3]
Structure and simulated XRD peak list of La4GaSbO (a crystal structure in Alexandria, relaxed with PBE; Cu Kα (λ = 1.5418 Å)).
Neutral-atom scattering factors, no anomalous dispersion.

Largest 10 diffraction maxima, sorted by position, 2θ from 15° to 90°:
| hkl | 2θ (°) | intensity |
| --- | --- | --- |
| 2 2 0 | 28.05 | 100 |
| 0 6 0 | 31.64 | 36 |
| 1 5 1 | 32.19 | 28 |
| 2 4 0 | 33.60 | 84 |
| 2 0 2 | 37.05 | 68 |
| 2 6 2 | 49.50 | 41 |
| 4 0 0 | 53.41 | 23 |
| 4 2 2 | 61.40 | 22 |
| 4 6 0 | 63.42 | 19 |
| 4 4 2 | 64.59 | 25 |

Crystal structure
abc: 6.8639 16.9658 6.8603
angles: 90.00 90.00 90.00
Space group Cmcm (No. 63)
Unique sites:
La: 0.0000 0.0681 0.2500 [4 per cell]
La: 0.0000 0.4193 0.2500 [4 per cell]
La: 0.2500 0.2500 0.0000 [8 per cell]
Ga: 0.0000 0.1161 0.7500 [4 per cell]
Sb: 0.0000 0.3900 0.7500 [4 per cell]
O: 0.0000 0.2532 0.2500 [4 per cell]